Record 1
This entry pairs a crystal structure of Rb2OsRh2 with its calculated powder diffraction line list. Radiation: copper Kα. Structure: the PBE geometry in Alexandria.
No peak broadening, texture or thermal motion is included.

Atomic structure:
Lattice parameters (Å, degrees): 11.6935 11.6935 11.6935 163.02 163.02 24.10
Fractional coordinates of all 5 atoms:
Rb1 0.1130 0.1130 0.0000
Rb2 0.8870 0.8870 0.0000
Os1 0.5000 0.5000 0.0000
Rh1 0.2500 0.7500 0.5000
Rh2 0.7500 0.2500 0.5000

Peak list (12 most intense, 2θ from 10° to 90°, by intensity)
Position (°2θ)  I/Imax
37.67  100.0
32.49  99.2
28.38  91.5
15.50  67.6
31.29  67.3
55.01  49.2
44.05  37.3
62.89  35.8
53.05  33.5
63.60  28.6
61.25  20.9
58.92  19.1

***

Record 2
This entry pairs a crystal structure of Rb3OsRh3Se8 with its calculated powder diffraction line list. Radiation: copper Kα. Structure: the PBE geometry in Alexandria.
No peak broadening, texture or thermal motion is included.

Atomic structure:
Lattice parameters (Å, degrees): 8.8130 8.8130 8.8130 51.77 51.77 51.77
Fractional coordinates of all 15 atoms:
Rb1 0.0000 0.5000 0.5000
Rb2 0.5000 0.0000 0.5000
Rb3 0.5000 0.5000 0.0000
Os1 0.5000 0.5000 0.5000
Rh1 0.0000 0.0000 0.5000
Rh2 0.0000 0.5000 0.0000
Rh3 0.5000 0.0000 0.0000
Se1 0.2200 0.2200 0.2200
Se2 0.2201 0.7211 0.7211
Se3 0.2789 0.2789 0.7799
Se4 0.2789 0.7799 0.2789
Se5 0.7211 0.2201 0.7211
Se6 0.7211 0.7211 0.2201
Se7 0.7799 0.2789 0.2789
Se8 0.7800 0.7800 0.7800

Peak list (12 most intense, 2θ from 10° to 90°, by intensity)
Position (°2θ)  I/Imax
31.08  100.0
11.63  75.4
47.25  39.4
38.63  26.6
41.67  19.7
57.64  16.8
48.32  16.6
77.64  14.3
63.51  14.0
48.83  12.4
13.84  11.7
23.37  10.3